[1]
Theoretical powder diffraction line list of Li3Mn5OF11 for Cu Ka, from a cell relaxed with PBE+U.
Neutral-atom scattering factors, no anomalous dispersion.

Peak list (10 most intense, 10° ≤ 2θ ≤ 90°, low angle first)
- d = 4.809 Å, 18.45 deg, intensity 59
- d = 4.477 Å, 19.83 deg, intensity 41
- d = 2.866 Å, 31.21 deg, intensity 82
- d = 2.853 Å, 31.35 deg, intensity 41
- d = 2.705 Å, 33.12 deg, intensity 41
- d = 2.370 Å, 37.97 deg, intensity 100
- d = 2.351 Å, 38.28 deg, intensity 54
- d = 1.808 Å, 50.47 deg, intensity 37
- d = 1.801 Å, 50.68 deg, intensity 30
- d = 1.572 Å, 58.73 deg, intensity 49

Crystal structure
Unit cell a=5.413 b=5.723 c=9.429 alpha=73.71 beta=89.32 gamma=62.14
Atoms (fractional coordinates):
Li 0.000 0.000 0.000
Li 0.056 0.880 0.349
Li 0.577 0.854 0.868
Mn 0.257 0.490 0.749
Mn 0.313 0.378 0.095
Mn 0.527 0.997 0.493
Mn 0.747 0.478 0.254
Mn 0.824 0.333 0.600
O 0.770 0.178 0.444
F 0.231 0.163 0.293
F 0.254 0.181 0.948
F 0.268 0.178 0.651
F 0.299 0.687 0.195
F 0.314 0.686 0.894
F 0.367 0.685 0.550
F 0.711 0.173 0.806
F 0.756 0.183 0.136
F 0.813 0.665 0.706
F 0.836 0.670 0.400
F 0.856 0.668 0.052

[2]
Theoretical powder diffraction line list of Li2Mn2OF6 for Cu Ka, from a cell relaxed with PBE+U.
Neutral-atom scattering factors, no anomalous dispersion.

Peak list (10 most intense, 10° ≤ 2θ ≤ 90°, low angle first)
- d = 6.358 Å, 13.93 deg, intensity 45
- d = 4.754 Å, 18.66 deg, intensity 100
- d = 4.205 Å, 21.13 deg, intensity 29
- d = 3.733 Å, 23.84 deg, intensity 23
- d = 3.499 Å, 25.45 deg, intensity 49
- d = 3.133 Å, 28.49 deg, intensity 21
- d = 2.334 Å, 38.57 deg, intensity 54
- d = 2.254 Å, 39.99 deg, intensity 49
- d = 2.165 Å, 41.72 deg, intensity 38
- d = 1.789 Å, 51.05 deg, intensity 16

Crystal structure
Unit cell a=5.727 b=7.034 c=7.423 alpha=62.80 beta=71.13 gamma=78.82
Atoms (fractional coordinates):
Li 0.190 0.106 0.288
Li 0.290 0.630 0.581
Li 0.710 0.370 0.419
Li 0.810 0.894 0.712
Mn 0.159 0.083 0.778
Mn 0.278 0.638 0.092
Mn 0.722 0.362 0.908
Mn 0.841 0.917 0.222
O 0.001 0.819 0.999
O 0.999 0.181 0.001
F 0.081 0.398 0.256
F 0.185 0.782 0.308
F 0.211 0.962 0.579
F 0.341 0.329 0.594
F 0.429 0.524 0.839
F 0.473 0.881 0.887
F 0.527 0.119 0.113
F 0.571 0.476 0.161
F 0.659 0.671 0.406
F 0.789 0.038 0.421
F 0.815 0.218 0.692
F 0.919 0.602 0.744

[3]
Theoretical powder diffraction line list of Li2MnO2F for Cu Ka, from a cell relaxed with PBE+U.
Neutral-atom scattering factors, no anomalous dispersion.

Peak list (10 most intense, 10° ≤ 2θ ≤ 90°, low angle first)
- d = 4.781 Å, 18.56 deg, intensity 100
- d = 3.654 Å, 24.36 deg, intensity 81
- d = 2.648 Å, 33.86 deg, intensity 80
- d = 1.977 Å, 45.91 deg, intensity 30
- d = 1.956 Å, 46.42 deg, intensity 31
- d = 1.911 Å, 47.59 deg, intensity 41
- d = 1.827 Å, 49.92 deg, intensity 12
- d = 1.590 Å, 58.02 deg, intensity 13
- d = 1.584 Å, 58.24 deg, intensity 28
- d = 1.374 Å, 68.27 deg, intensity 23

Crystal structure
Unit cell a=5.174 b=5.174 c=6.359 alpha=90.00 beta=90.00 gamma=135.08
Atoms (fractional coordinates):
Li 0.126 0.874 0.750
Li 0.168 0.832 0.250
Li 0.832 0.168 0.750
Li 0.874 0.126 0.250
Mn 0.500 0.500 0.000
Mn 0.500 0.500 0.500
O 0.000 0.000 0.000
O 0.000 0.000 0.500
O 0.382 0.618 0.250
O 0.618 0.382 0.750
F 0.329 0.671 0.750
F 0.671 0.329 0.250

[4]
Theoretical powder diffraction line list of Li2Mn3OF6 for Cu Ka, from a cell relaxed with PBE+U.
Neutral-atom scattering factors, no anomalous dispersion.

Peak list (10 most intense, 10° ≤ 2θ ≤ 90°, low angle first)
- d = 4.793 Å, 18.51 deg, intensity 100
- d = 2.764 Å, 32.39 deg, intensity 21
- d = 2.734 Å, 32.75 deg, intensity 20
- d = 2.714 Å, 33.01 deg, intensity 21
- d = 2.229 Å, 40.47 deg, intensity 37
- d = 2.222 Å, 40.61 deg, intensity 34
- d = 2.161 Å, 41.80 deg, intensity 29
- d = 1.622 Å, 56.74 deg, intensity 15
- d = 1.612 Å, 57.14 deg, intensity 11
- d = 1.537 Å, 60.21 deg, intensity 12

Crystal structure
Unit cell a=6.180 b=6.705 c=8.295 alpha=67.91 beta=71.24 gamma=82.26
Atoms (fractional coordinates):
Li 0.000 0.000 0.000
Li 0.197 0.545 0.416
Li 0.586 0.829 0.452
Li 0.785 0.372 0.868
Mn 0.122 0.119 0.273
Mn 0.254 0.428 0.866
Mn 0.532 0.942 0.002
Mn 0.662 0.255 0.594
Mn 0.802 0.506 0.161
Mn 0.981 0.867 0.706
O 0.815 0.105 0.801
O 0.969 0.267 0.067
F 0.062 0.559 0.665
F 0.111 0.713 0.937
F 0.224 0.826 0.211
F 0.283 0.966 0.482
F 0.340 0.122 0.807
F 0.446 0.248 0.061
F 0.500 0.408 0.386
F 0.560 0.547 0.656
F 0.672 0.656 0.931
F 0.723 0.814 0.203
F 0.800 0.982 0.491
F 0.984 0.392 0.376

[5]
Theoretical powder diffraction line list of Li6Mn2O5F2 for Cu Ka, from a cell relaxed with PBE+U.
Neutral-atom scattering factors, no anomalous dispersion.

Peak list (10 most intense, 10° ≤ 2θ ≤ 90°, low angle first)
- d = 5.138 Å, 17.26 deg, intensity 100
- d = 4.798 Å, 18.49 deg, intensity 46
- d = 4.516 Å, 19.66 deg, intensity 43
- d = 3.824 Å, 23.26 deg, intensity 14
- d = 3.783 Å, 23.52 deg, intensity 26
- d = 3.546 Å, 25.11 deg, intensity 23
- d = 3.319 Å, 26.86 deg, intensity 23
- d = 2.152 Å, 41.98 deg, intensity 98
- d = 2.014 Å, 45.02 deg, intensity 39
- d = 1.475 Å, 63.04 deg, intensity 21

Crystal structure
Unit cell a=5.871 b=5.883 c=9.914 alpha=95.44 beta=93.56 gamma=118.10
Atoms (fractional coordinates):
Li 0.029 0.367 0.393
Li 0.169 0.085 0.109
Li 0.180 0.622 0.098
Li 0.290 0.369 0.908
Li 0.408 0.607 0.579
Li 0.419 0.080 0.605
Li 0.581 0.920 0.395
Li 0.592 0.393 0.421
Li 0.710 0.631 0.092
Li 0.820 0.378 0.902
Li 0.831 0.915 0.891
Li 0.971 0.633 0.607
Mn 0.059 0.893 0.377
Mn 0.296 0.880 0.881
Mn 0.704 0.120 0.119
Mn 0.941 0.107 0.623
O 0.004 0.746 0.978
O 0.131 0.000 0.749
O 0.237 0.751 0.474
O 0.248 0.236 0.486
O 0.482 0.749 0.991
O 0.518 0.251 0.009
O 0.752 0.764 0.514
O 0.763 0.249 0.526
O 0.869 0.000 0.251
O 0.996 0.254 0.022
F 0.135 0.470 0.741
F 0.399 0.009 0.238
F 0.601 0.991 0.762
F 0.865 0.530 0.259

[6]
Theoretical powder diffraction line list of Li3Mn2OF5 for Cu Ka, from a cell relaxed with PBE+U.
Neutral-atom scattering factors, no anomalous dispersion.

Peak list (10 most intense, 10° ≤ 2θ ≤ 90°, low angle first)
- d = 4.845 Å, 18.31 deg, intensity 26
- d = 4.296 Å, 20.67 deg, intensity 14
- d = 3.886 Å, 22.88 deg, intensity 100
- d = 2.393 Å, 37.58 deg, intensity 31
- d = 2.178 Å, 41.45 deg, intensity 88
- d = 2.148 Å, 42.06 deg, intensity 40
- d = 1.906 Å, 47.70 deg, intensity 12
- d = 1.894 Å, 48.04 deg, intensity 12
- d = 1.547 Å, 59.78 deg, intensity 12
- d = 1.530 Å, 60.53 deg, intensity 45

Crystal structure
Unit cell a=10.155 b=9.708 c=5.295 alpha=79.26 beta=69.92 gamma=30.81
Atoms (fractional coordinates):
Li 0.000 0.000 0.000
Li 0.250 0.250 0.250
Li 0.319 0.319 0.681
Li 0.575 0.575 0.925
Li 0.681 0.681 0.319
Li 0.925 0.925 0.575
Mn 0.080 0.080 0.420
Mn 0.420 0.420 0.080
Mn 0.500 0.500 0.500
Mn 0.750 0.750 0.750
O 0.253 0.747 0.253
O 0.747 0.253 0.747
F 0.114 0.544 0.433
F 0.161 0.673 0.825
F 0.340 0.825 0.673
F 0.433 0.910 0.114
F 0.506 0.994 0.506
F 0.544 0.114 0.910
F 0.673 0.161 0.340
F 0.825 0.340 0.161
F 0.910 0.433 0.544
F 0.994 0.506 0.994

[7]
Theoretical powder diffraction line list of Li3MnOF3 for Cu Ka, from a cell relaxed with PBE+U.
Neutral-atom scattering factors, no anomalous dispersion.

Peak list (10 most intense, 10° ≤ 2θ ≤ 90°, low angle first)
- d = 4.882 Å, 18.17 deg, intensity 58
- d = 4.773 Å, 18.59 deg, intensity 30
- d = 4.120 Å, 21.57 deg, intensity 18
- d = 2.609 Å, 34.38 deg, intensity 24
- d = 2.167 Å, 41.68 deg, intensity 15
- d = 2.153 Å, 41.97 deg, intensity 100
- d = 2.116 Å, 42.72 deg, intensity 45
- d = 1.535 Å, 60.31 deg, intensity 14
- d = 1.517 Å, 61.07 deg, intensity 25
- d = 1.501 Å, 61.80 deg, intensity 26

Crystal structure
Unit cell a=5.203 b=5.203 c=10.474 alpha=100.39 beta=100.39 gamma=34.31
Atoms (fractional coordinates):
Li 0.000 0.000 0.000
Li 0.000 0.000 0.500
Li 0.250 0.250 0.386
Li 0.499 0.499 0.751
Li 0.501 0.501 0.249
Li 0.750 0.750 0.614
Mn 0.243 0.243 0.880
Mn 0.757 0.757 0.120
O 0.380 0.380 0.068
O 0.620 0.620 0.932
F 0.124 0.124 0.674
F 0.130 0.130 0.210
F 0.374 0.374 0.559
F 0.626 0.626 0.441
F 0.870 0.870 0.790
F 0.876 0.876 0.326

[8]
Theoretical powder diffraction line list of Li2MnO2F for Cu Ka, from a cell relaxed with PBE+U.
Neutral-atom scattering factors, no anomalous dispersion.

Peak list (10 most intense, 10° ≤ 2θ ≤ 90°, low angle first)
- d = 4.854 Å, 18.28 deg, intensity 100
- d = 4.386 Å, 20.25 deg, intensity 30
- d = 4.116 Å, 21.59 deg, intensity 25
- d = 2.581 Å, 34.76 deg, intensity 16
- d = 2.566 Å, 34.97 deg, intensity 18
- d = 2.143 Å, 42.17 deg, intensity 48
- d = 2.129 Å, 42.45 deg, intensity 46
- d = 2.061 Å, 43.94 deg, intensity 45
- d = 1.515 Å, 61.19 deg, intensity 13
- d = 1.482 Å, 62.70 deg, intensity 23

Crystal structure
Unit cell a=5.116 b=5.202 c=9.916 alpha=84.49 beta=78.23 gamma=60.87
Atoms (fractional coordinates):
Li 0.000 0.000 0.000
Li 0.055 0.354 0.747
Li 0.135 0.681 0.505
Li 0.299 0.372 0.997
Li 0.500 0.000 0.500
Li 0.701 0.628 0.003
Li 0.865 0.319 0.495
Li 0.945 0.646 0.253
Mn 0.236 0.004 0.248
Mn 0.410 0.667 0.750
Mn 0.590 0.333 0.250
Mn 0.764 0.996 0.752
O 0.061 0.674 0.872
O 0.129 0.977 0.637
O 0.239 0.298 0.358
O 0.316 0.664 0.146
O 0.684 0.336 0.854
O 0.761 0.702 0.642
O 0.871 0.023 0.363
O 0.939 0.326 0.128
F 0.379 0.015 0.880
F 0.446 0.333 0.613
F 0.554 0.667 0.387
F 0.621 0.985 0.120

[9]
Theoretical powder diffraction line list of Li5MnO3F for Cu Ka, from a cell relaxed with PBE+U.
Neutral-atom scattering factors, no anomalous dispersion.

Peak list (10 most intense, 10° ≤ 2θ ≤ 90°, low angle first)
- d = 4.734 Å, 18.74 deg, intensity 34
- d = 3.865 Å, 23.01 deg, intensity 100
- d = 3.348 Å, 26.63 deg, intensity 29
- d = 2.736 Å, 32.73 deg, intensity 28
- d = 2.730 Å, 32.80 deg, intensity 24
- d = 2.534 Å, 35.42 deg, intensity 18
- d = 2.528 Å, 35.51 deg, intensity 29
- d = 2.118 Å, 42.68 deg, intensity 18
- d = 1.676 Å, 54.77 deg, intensity 20
- d = 1.673 Å, 54.88 deg, intensity 29

Crystal structure
Unit cell a=4.734 b=6.691 c=6.700 alpha=89.92 beta=89.81 gamma=89.91
Atoms (fractional coordinates):
Li 0.000 0.000 0.000
Li 0.001 0.230 0.704
Li 0.403 0.277 0.196
Li 0.413 0.504 0.500
Li 0.440 0.706 0.780
Li 0.476 0.731 0.206
Li 0.490 0.006 0.963
Li 0.924 0.500 0.466
Li 0.939 0.777 0.706
Li 0.976 0.801 0.285
Mn 0.438 0.995 0.495
Mn 0.975 0.514 0.996
O 0.144 0.507 0.716
O 0.199 0.521 0.252
O 0.214 0.986 0.751
O 0.269 0.000 0.215
O 0.677 0.736 0.484
O 0.734 0.771 0.983
F 0.678 0.275 0.487
F 0.739 0.232 0.980

[10]
Theoretical powder diffraction line list of LiMn2OF3 for Cu Ka, from a cell relaxed with PBE+U.
Neutral-atom scattering factors, no anomalous dispersion.

Peak list (10 most intense, 10° ≤ 2θ ≤ 90°, low angle first)
- d = 4.723 Å, 18.79 deg, intensity 56
- d = 3.791 Å, 23.47 deg, intensity 100
- d = 2.954 Å, 30.25 deg, intensity 40
- d = 2.733 Å, 32.77 deg, intensity 29
- d = 2.678 Å, 33.46 deg, intensity 40
- d = 2.636 Å, 34.01 deg, intensity 42
- d = 2.425 Å, 37.07 deg, intensity 29
- d = 1.895 Å, 48.00 deg, intensity 87
- d = 1.877 Å, 48.51 deg, intensity 32
- d = 1.556 Å, 59.39 deg, intensity 30

Crystal structure
Unit cell a=10.709 b=6.357 c=5.262 alpha=90.00 beta=90.00 gamma=90.00
Atoms (fractional coordinates):
Li 0.088 0.250 0.023
Li 0.412 0.750 0.523
Li 0.588 0.250 0.477
Li 0.912 0.750 0.977
Mn 0.000 0.000 0.500
Mn 0.000 0.500 0.500
Mn 0.240 0.750 0.011
Mn 0.260 0.250 0.511
Mn 0.500 0.000 0.000
Mn 0.500 0.500 0.000
Mn 0.740 0.750 0.489
Mn 0.760 0.250 0.989
O 0.084 0.250 0.667
O 0.416 0.750 0.167
O 0.584 0.250 0.833
O 0.916 0.750 0.333
F 0.072 0.750 0.789
F 0.167 0.020 0.217
F 0.167 0.480 0.217
F 0.333 0.520 0.717
F 0.333 0.980 0.717
F 0.428 0.250 0.289
F 0.572 0.750 0.711
F 0.667 0.020 0.283
F 0.667 0.480 0.283
F 0.833 0.520 0.783
F 0.833 0.980 0.783
F 0.928 0.250 0.211